# 1
For Tl3B, a crystal structure in the Materials Project, relaxed with GGA-PBE gives the computed powder diffractogram in this record (Cu Kα, 1.54184 Å).
Intensities are scaled so that the largest is 100.

Crystal structure
Cell lengths 7.4623, 7.4623, 7.4623 Å; angles 90.00, 90.00, 90.00 degrees
Space group Fm-3m (No. 225)
One atom of each set of equivalent atoms:
Tl (0.0000, 0.0000, 0.0000) (multiplicity 4)
Tl (0.2500, 0.2500, 0.2500) (multiplicity 8)
B (0.0000, 0.0000, 0.5000) (multiplicity 4)

The 8 most intense peaks (5° ≤ 2θ ≤ 70°), low angle first:
- 2θ 20.62, d = 4.308 Å, intensity 22
- 2θ 23.85, d = 3.731 Å, intensity 12
- 2θ 33.98, d = 2.638 Å, intensity 100
- 2θ 40.07, d = 2.250 Å, intensity 13
- 2θ 48.82, d = 1.866 Å, intensity 18
- 2θ 53.53, d = 1.712 Å, intensity 6
- 2θ 55.03, d = 1.669 Å, intensity 5
- 2θ 60.81, d = 1.523 Å, intensity 38


# 2
For Tl3B, a crystal structure in the Materials Project, relaxed with GGA-PBE gives the computed powder diffractogram in this record (Cu Kα, 1.54184 Å).
Intensities are scaled so that the largest is 100.

Crystal structure
Cell lengths 4.6420, 4.6420, 4.6420 Å; angles 90.00, 90.00, 90.00 degrees
Space group Pm-3m (No. 221)
One atom of each set of equivalent atoms:
Tl (0.0000, 0.0000, 0.5000) (multiplicity 3)
B (0.5000, 0.5000, 0.5000) (multiplicity 1)

The 8 most intense peaks (5° ≤ 2θ ≤ 70°), low angle first:
- 2θ 19.12, d = 4.642 Å, intensity 29
- 2θ 27.17, d = 3.282 Å, intensity 25
- 2θ 33.43, d = 2.680 Å, intensity 100
- 2θ 38.80, d = 2.321 Å, intensity 50
- 2θ 43.60, d = 2.076 Å, intensity 15
- 2θ 48.01, d = 1.895 Å, intensity 11
- 2θ 56.03, d = 1.641 Å, intensity 35
- 2θ 66.85, d = 1.400 Å, intensity 42


Q: Number 1 is which compound?
A: Tl3B


Q: Which formula does entry 2 have?
A: Tl3B